For Rb2TlSn10, a DFT-relaxed cell (PBE, Alexandria) gives the calculated powder XRD pattern in this record (λ = 1.5418 Å (Cu Kα)).
Neutral-atom scattering factors, no anomalous dispersion.

Atomic structure:
Unit cell a=12.0334 b=12.9540 c=6.7090 alpha=90.00 beta=90.00 gamma=90.00
Space group Pbam (No. 55)
One atom of each set of equivalent atoms:
Rb 0.0391 0.1610 0.0000 [4 per cell]
Tl 0.0000 0.5000 0.5000 [2 per cell]
Sn 0.0732 0.2632 0.5000 [4 per cell]
Sn 0.1447 0.0252 0.5000 [4 per cell]
Sn 0.1727 0.7021 0.5000 [4 per cell]
Sn 0.2402 0.3713 0.2334 [8 per cell]

Most intense lines, 5° ≤ 2θ ≤ 70°, sorted by position:
- hkl 0 0 1, d = 6.709 Å, 2θ 13.2, I 100
- hkl 1 2 0, d = 5.703 Å, 2θ 15.5, I 23
- hkl 3 2 0, d = 3.410 Å, 2θ 26.1, I 26
- hkl 3 1 1, d = 3.327 Å, 2θ 26.8, I 29
- hkl 2 0 2, d = 2.934 Å, 2θ 30.5, I 81
- hkl 0 4 1, d = 2.916 Å, 2θ 30.7, I 43
- hkl 1 2 2, d = 2.891 Å, 2θ 30.9, I 51
- hkl 3 3 1, d = 2.690 Å, 2θ 33.3, I 27
- hkl 0 4 2, d = 2.330 Å, 2θ 38.6, I 36
- hkl 4 1 2, d = 2.209 Å, 2θ 40.9, I 43